Starting from the PBE+U geometry in Alexandria, the powder diffractogram of NaCo2P3O10 was computed for Cu Kα, 1.54184 Å.
Intensities are scaled so that the largest is 100.

Principal peaks in the range 2θ from 5° to 70°, in order of rising 2θ:
| Position (°2θ) | d [Å] | I (rel.) |
| --- | --- | --- |
| 9.80 | 9.027 | 38 |
| 24.78 | 3.593 | 21 |
| 25.48 | 3.495 | 18 |
| 28.08 | 3.178 | 100 |
| 31.06 | 2.879 | 34 |
| 32.63 | 2.744 | 17 |
| 33.14 | 2.703 | 47 |
| 36.39 | 2.469 | 25 |
| 43.19 | 2.095 | 26 |
| 56.49 | 1.629 | 15 |

Cell and atoms:
Lattice parameters (Å, degrees): 4.7333 8.6414 9.1094 90.00 97.72 90.00
Space group P2_1/m (No. 11)
Asymmetric unit:
Na 0.0000 0.0000 0.0000 [2 per cell]
Co 0.0462 0.0711 0.3416 [4 per cell]
P 0.3334 0.2500 0.8155 [2 per cell]
P 0.3898 0.7500 0.4601 [2 per cell]
P 0.4768 0.2500 0.1512 [2 per cell]
O 0.1666 0.1012 0.7980 [4 per cell]
O 0.2136 0.7500 0.7699 [2 per cell]
O 0.2248 0.6009 0.4858 [4 per cell]
O 0.3067 0.2500 0.4558 [2 per cell]
O 0.3155 0.1016 0.1753 [4 per cell]
O 0.4149 0.7500 0.2847 [2 per cell]
O 0.4669 0.7500 0.0252 [2 per cell]